Diffraction record for Pa2CdPdO8. The powder diffraction line list is simulated, not measured: it uses a structure optimized by DFT (PBE) and Cu Kα (λ = 1.5418 Å).
Lines closer than 0.1° are merged.

Top 10 peaks for 2θ = 15–90°, in order of falling intensity:
31.50 deg, d = 2.840 Å, I 100
23.30 deg, d = 3.817 Å, I 95
34.83 deg, d = 2.575 Å, I 83
58.25 deg, d = 1.584 Å, I 38
39.55 deg, d = 2.279 Å, I 36
47.65 deg, d = 1.908 Å, I 34
51.41 deg, d = 1.777 Å, I 26
56.09 deg, d = 1.640 Å, I 25
65.76 deg, d = 1.420 Å, I 14
76.61 deg, d = 1.244 Å, I 13

Structure:
a = 5.6804 Å, b = 5.6804 Å, c = 6.0504 Å
α = 90.00°, β = 90.00°, γ = 120.00°
Atoms (fractional coordinates):
1 Pa 0.3333 0.6667 0.3631
2 Pa 0.6667 0.3333 0.6369
3 Cd 0.0000 0.0000 0.0000
4 Pd 0.0000 0.0000 0.5000
5 O 0.0718 0.3337 0.6720
6 O 0.2618 0.9282 0.6720
7 O 0.3333 0.6667 0.0543
8 O 0.3337 0.2618 0.3280
9 O 0.6663 0.7382 0.6720
10 O 0.6667 0.3333 0.9457
11 O 0.7382 0.0718 0.3280
12 O 0.9282 0.6663 0.3280